Starting from the PBE geometry in the Materials Project, the powder X-ray diffraction pattern of CsDyS2 was computed for λ = 1.5418 Å (Cu Kα).
Kinematic intensities with the Lorentz-polarization factor, no thermal factor.

Top 10 peaks for 10° ≤ 2θ ≤ 80°, in order of rising 2θ:
Position (°2θ)  intensity  h k l
22.06  33  0 0 6
26.11  55  0 1 2
29.13  100  1 0 4
39.11  37  0 1 8
44.09  33  1 1 0
45.36  19  1 0 10
49.83  23  1 1 6
53.72  17  0 2 4
64.83  13  1 1 12
71.94  15  2 1 4

Atomic structure:
a = 4.1077 Å, b = 4.1077 Å, c = 24.1746 Å
α = 90.00°, β = 90.00°, γ = 120.00°
Space group R-3m (No. 166, hexagonal axes)
Asymmetric unit:
Cs: 0.0000 0.0000 0.0000
Dy: 0.0000 0.0000 0.5000
S: 0.0000 0.0000 0.2271